[1]
Structure and computed X-ray diffraction stick pattern of Dy2Ni7 (the PBE geometry in the Materials Project; Cu Kα X-rays).
Intensities are scaled so that the largest is 100.

Main lines, most intense first (2θ from 5° to 70°):
2theta, I_rel
43.0, 100
33.4, 66
36.4, 50
42.4, 32
63.6, 22
66.8, 15
46.5, 15
45.2, 15
42.3, 13
66.2, 11

a = 4.9373 Å, b = 4.9373 Å, c = 24.0766 Å
α = 90.00°, β = 90.00°, γ = 120.00°
Atoms (fractional coordinates):
Dy1 0.3333 0.6667 0.0292
Dy2 0.3333 0.6667 0.1735
Dy3 0.3333 0.6667 0.3265
Dy4 0.3333 0.6667 0.4708
Dy5 0.6667 0.3333 0.5292
Dy6 0.6667 0.3333 0.6735
Dy7 0.6667 0.3333 0.8265
Dy8 0.6667 0.3333 0.9708
Ni1 0.0000 0.0000 0.0000
Ni2 0.0000 0.0000 0.1675
Ni3 0.0000 0.0000 0.3325
Ni4 0.0000 0.0000 0.5000
Ni5 0.0000 0.0000 0.6675
Ni6 0.0000 0.0000 0.8325
Ni7 0.1672 0.3345 0.5852
Ni8 0.1668 0.3335 0.7500
Ni9 0.1672 0.3345 0.9148
Ni10 0.1672 0.8328 0.5852
Ni11 0.1668 0.8332 0.7500
Ni12 0.1672 0.8328 0.9148
Ni13 0.3333 0.6667 0.6672
Ni14 0.3333 0.6667 0.8328
Ni15 0.3345 0.1672 0.0852
Ni16 0.3335 0.1668 0.2500
Ni17 0.3345 0.1672 0.4148
Ni18 0.6655 0.8328 0.5852
Ni19 0.6665 0.8332 0.7500
Ni20 0.6655 0.8328 0.9148
Ni21 0.6667 0.3333 0.1672
Ni22 0.6667 0.3333 0.3328
Ni23 0.8328 0.1672 0.0852
Ni24 0.8332 0.1668 0.2500
Ni25 0.8328 0.1672 0.4148
Ni26 0.8328 0.6655 0.0852
Ni27 0.8332 0.6665 0.2500
Ni28 0.8328 0.6655 0.4148

[2]
Structure and computed X-ray diffraction stick pattern of DyNi2 (the PBE geometry in the Materials Project; Cu Kα X-rays).
Intensities are scaled so that the largest is 100.

Main lines, most intense first (2θ from 5° to 70°):
2theta, I_rel
41.8, 100
35.4, 64
67.9, 30
63.6, 23
43.7, 15
21.5, 13
55.9, 3

a = 5.0703 Å, b = 5.0703 Å, c = 5.0703 Å
α = 60.00°, β = 60.00°, γ = 60.00°
Atoms (fractional coordinates):
Dy1 0.1250 0.1250 0.1250
Dy2 0.8750 0.8750 0.8750
Ni1 0.0000 0.5000 0.5000
Ni2 0.5000 0.0000 0.5000
Ni3 0.5000 0.5000 0.0000
Ni4 0.5000 0.5000 0.5000

[3]
Structure and computed X-ray diffraction stick pattern of Dy2Ni12P7 (the PBE geometry in the Materials Project; Cu Kα X-rays).
Intensities are scaled so that the largest is 100.

Main lines, most intense first (2θ from 5° to 70°):
2theta, I_rel
39.1, 100
49.5, 18
53.7, 16
26.8, 11
57.1, 10
30.2, 10
48.7, 9
34.4, 9
46.5, 9
41.6, 9

a = 9.0285 Å, b = 9.0285 Å, c = 3.6803 Å
α = 90.00°, β = 90.00°, γ = 120.00°
Atoms (fractional coordinates):
Dy1 0.0000 0.0000 0.0000
Dy2 0.3333 0.6667 0.5000
Ni1 0.0478 0.7637 0.5000
Ni2 0.1019 0.3932 0.0000
Ni3 0.2363 0.2841 0.5000
Ni4 0.2913 0.8981 0.0000
Ni5 0.3920 0.2103 0.0000
Ni6 0.5450 0.1170 0.5000
Ni7 0.5720 0.4550 0.5000
Ni8 0.6068 0.7087 0.0000
Ni9 0.7159 0.9522 0.5000
Ni10 0.7897 0.1817 0.0000
Ni11 0.8183 0.6080 0.0000
Ni12 0.8830 0.4280 0.5000
P1 0.0729 0.6256 0.0000
P2 0.2612 0.0383 0.5000
P3 0.3744 0.4473 0.0000
P4 0.5527 0.9271 0.0000
P5 0.6667 0.3333 0.0000
P6 0.7771 0.7388 0.5000
P7 0.9617 0.2229 0.5000